# 1
Starting from a DFT-relaxed cell (GGA-PBE, Alexandria), the X-ray powder pattern of Ca6Ag2Au was simulated for Cu Kα (λ = 1.5418 Å).

Largest 12 diffraction maxima, most intense first, 10 to 90 degrees two-theta:
2θ/deg, intensity
32.38, 100
17.75, 78
30.03, 66
32.90, 57
16.46, 50
35.95, 43
31.92, 43
17.37, 40
35.63, 37
43.81, 34
41.47, 33
33.22, 29

Atomic structure:
a = 8.946 Å, b = 8.946 Å, c = 8.946 Å
α = 112.11°, β = 110.40°, γ = 105.96°
Positions (direct):
Ca 0.059 0.249 0.810
Ca 0.174 0.268 0.443
Ca 0.174 0.732 0.906
Ca 0.333 0.040 0.706
Ca 0.333 0.627 0.294
Ca 0.439 0.249 0.190
Ca 0.561 0.751 0.810
Ca 0.667 0.373 0.706
Ca 0.667 0.960 0.294
Ca 0.826 0.268 0.094
Ca 0.826 0.732 0.557
Ca 0.941 0.751 0.190
Ag 0.129 0.629 0.500
Ag 0.348 0.000 0.348
Ag 0.652 0.000 0.652
Ag 0.871 0.371 0.500
Au 0.000 0.000 0.000
Au 0.500 0.500 0.000



# 2
Starting from a DFT-relaxed cell (GGA-PBE, Alexandria), the X-ray powder pattern of Ca2AgAu3 was simulated for Cu Kα (λ = 1.5418 Å).

Largest 12 diffraction maxima, most intense first, 10 to 90 degrees two-theta:
2θ/deg, intensity
33.20, 100
37.95, 76
24.91, 68
45.93, 55
65.41, 39
37.75, 38
51.14, 36
21.56, 34
45.76, 28
65.26, 25
21.68, 18
73.92, 14

Atomic structure:
a = 9.485 Å, b = 8.945 Å, c = 5.958 Å
α = 76.13°, β = 66.29°, γ = 37.58°
Positions (direct):
Ca 0.249 0.751 0.751
Ca 0.250 0.250 0.250
Ca 0.750 0.750 0.750
Ca 0.751 0.249 0.249
Ag 0.333 0.333 0.667
Ag 0.667 0.667 0.333
Au 0.167 0.167 0.833
Au 0.168 0.664 0.336
Au 0.336 0.832 0.168
Au 0.664 0.168 0.832
Au 0.832 0.336 0.664
Au 0.833 0.833 0.167



# 3
Starting from a DFT-relaxed cell (GGA-PBE, Alexandria), the X-ray powder pattern of Ca6Ag5Au was simulated for Cu Kα (λ = 1.5418 Å).

Largest 12 diffraction maxima, most intense first, 10 to 90 degrees two-theta:
2θ/deg, intensity
34.12, 100
34.26, 99
34.47, 97
61.03, 34
61.72, 33
23.80, 31
24.09, 30
24.29, 29
42.32, 28
48.71, 18
61.39, 17
49.34, 17

Atomic structure:
a = 5.209 Å, b = 7.478 Å, c = 8.201 Å
α = 90.00°, β = 108.05°, γ = 90.00°
Positions (direct):
Ca 0.000 0.244 0.000
Ca 0.000 0.756 0.000
Ca 0.336 0.248 0.672
Ca 0.336 0.752 0.672
Ca 0.664 0.248 0.328
Ca 0.664 0.752 0.328
Ag 0.167 0.500 0.334
Ag 0.172 0.000 0.343
Ag 0.500 0.500 0.000
Ag 0.828 0.000 0.657
Ag 0.833 0.500 0.666
Au 0.500 0.000 0.000



# 4
Starting from a DFT-relaxed cell (GGA-PBE, Alexandria), the X-ray powder pattern of Ca3AgAu was simulated for Cu Kα (λ = 1.5418 Å).

Largest 12 diffraction maxima, most intense first, 10 to 90 degrees two-theta:
2θ/deg, intensity
32.33, 100
21.34, 59
34.68, 52
34.49, 47
32.59, 46
24.19, 42
15.19, 39
10.77, 33
24.06, 31
32.44, 28
34.28, 21
40.76, 20

Atomic structure:
a = 9.181 Å, b = 8.279 Å, c = 8.330 Å
α = 90.00°, β = 116.51°, γ = 90.00°
Positions (direct):
Ca 0.023 0.021 0.308
Ca 0.023 0.479 0.808
Ca 0.273 0.122 0.093
Ca 0.273 0.378 0.593
Ca 0.387 0.720 0.953
Ca 0.387 0.780 0.453
Ca 0.613 0.220 0.547
Ca 0.613 0.280 0.047
Ca 0.727 0.622 0.407
Ca 0.727 0.878 0.907
Ca 0.977 0.521 0.192
Ca 0.977 0.979 0.692
Ag 0.354 0.032 0.726
Ag 0.354 0.468 0.226
Ag 0.646 0.532 0.774
Ag 0.646 0.968 0.274
Au 0.108 0.705 0.556
Au 0.108 0.795 0.056
Au 0.892 0.205 0.944
Au 0.892 0.295 0.444



# 5
Starting from a DFT-relaxed cell (GGA-PBE, Alexandria), the X-ray powder pattern of Ca2AgAu4 was simulated for Cu Kα (λ = 1.5418 Å).

Largest 12 diffraction maxima, most intense first, 10 to 90 degrees two-theta:
2θ/deg, intensity
22.24, 100
37.91, 78
34.74, 66
38.48, 38
34.60, 34
44.51, 33
11.50, 32
23.12, 32
52.54, 31
19.57, 29
34.99, 24
44.88, 24

Atomic structure:
a = 9.005 Å, b = 8.171 Å, c = 5.429 Å
α = 80.16°, β = 63.39°, γ = 36.45°
Positions (direct):
Ca 0.117 0.117 0.883
Ca 0.883 0.883 0.117
Ag 0.500 0.500 0.500
Au 0.000 0.000 0.500
Au 0.307 0.307 0.693
Au 0.500 0.500 0.000
Au 0.693 0.693 0.307



# 6
Starting from a DFT-relaxed cell (GGA-PBE, Alexandria), the X-ray powder pattern of Ca3Ag3Au2 was simulated for Cu Kα (λ = 1.5418 Å).

Largest 12 diffraction maxima, most intense first, 10 to 90 degrees two-theta:
2θ/deg, intensity
32.74, 100
21.77, 74
37.28, 63
43.58, 59
35.72, 45
24.16, 35
71.59, 34
59.31, 31
42.50, 28
44.38, 23
27.96, 20
84.16, 19

Atomic structure:
a = 7.369 Å, b = 7.369 Å, c = 4.082 Å
α = 90.00°, β = 90.00°, γ = 120.00°
Positions (direct):
Ca 0.000 0.613 0.000
Ca 0.387 0.387 0.000
Ca 0.613 0.000 0.000
Ag 0.000 0.230 0.500
Ag 0.230 0.000 0.500
Ag 0.770 0.770 0.500
Au 0.333 0.667 0.500
Au 0.667 0.333 0.500



# 7
Starting from a DFT-relaxed cell (GGA-PBE, Alexandria), the X-ray powder pattern of Ca2Ag2Au3 was simulated for Cu Kα (λ = 1.5418 Å).

Largest 12 diffraction maxima, most intense first, 10 to 90 degrees two-theta:
2θ/deg, intensity
36.77, 100
18.87, 95
34.43, 52
39.70, 51
33.33, 48
42.91, 43
37.39, 41
49.38, 25
44.30, 23
45.23, 22
23.71, 21
26.76, 21

Atomic structure:
a = 5.543 Å, b = 5.543 Å, c = 7.176 Å
α = 107.63°, β = 107.63°, γ = 48.36°
Positions (direct):
Ca 0.136 0.136 0.274
Ca 0.864 0.864 0.726
Ag 0.384 0.384 0.069
Ag 0.616 0.616 0.931
Au 0.159 0.159 0.710
Au 0.500 0.500 0.500
Au 0.841 0.841 0.290



# 8
Starting from a DFT-relaxed cell (GGA-PBE, Alexandria), the X-ray powder pattern of CaAgAu3 was simulated for Cu Kα (λ = 1.5418 Å).

Largest 12 diffraction maxima, most intense first, 10 to 90 degrees two-theta:
2θ/deg, intensity
38.11, 100
41.89, 32
32.56, 32
44.52, 30
61.80, 29
16.96, 29
20.59, 24
23.47, 24
38.87, 22
35.09, 22
25.64, 19
41.39, 19

Atomic structure:
a = 7.501 Å, b = 7.501 Å, c = 5.501 Å
α = 90.00°, β = 90.00°, γ = 135.80°
Positions (direct):
Ca 0.115 0.885 0.750
Ca 0.885 0.115 0.250
Ag 0.500 0.500 0.000
Ag 0.500 0.500 0.500
Au 0.102 0.396 0.750
Au 0.319 0.681 0.250
Au 0.396 0.102 0.250
Au 0.604 0.898 0.750
Au 0.681 0.319 0.750
Au 0.898 0.604 0.250



Number 1 is which compound?
Ca6Ag2Au